No. 1
Calculated PXRD pattern of ReOsPb for copper Kα, from a crystal structure in OQMD, relaxed with PBE.

Principal peaks in the range 2θ = 10–90°, in order of rising 2θ:
2θ (°)	I/Imax
24.77	25
28.68	17
41.01	100
48.51	13
50.81	5
59.39	17
65.35	5
67.27	6
74.71	35
88.95	12

Cell and atoms:
```
ReOsPb
1.0
6.225 0.000 0.000
0.000 6.225 0.000
0.000 0.000 6.225
Re Os Pb
4 4 4
direct
0.000 0.000 0.000 Re
0.000 0.500 0.500 Re
0.500 0.000 0.500 Re
0.500 0.500 0.000 Re
0.250 0.250 0.750 Os
0.250 0.750 0.250 Os
0.750 0.250 0.250 Os
0.750 0.750 0.750 Os
0.250 0.250 0.250 Pb
0.250 0.750 0.750 Pb
0.750 0.250 0.750 Pb
0.750 0.750 0.250 Pb
```

=====

No. 2
Calculated PXRD pattern of Nd2TePb for copper Kα, from a crystal structure in OQMD, relaxed with PBE.

Principal peaks in the range 2θ = 10–90°, in order of rising 2θ:
2θ (°)	I/Imax
27.73	43
27.83	86
39.72	100
49.17	36
57.51	11
64.85	16
65.04	31
71.98	12
72.14	23
85.53	8

Cell and atoms:
```
Nd2TePb
1.0
6.411 0.000 0.000
0.000 6.410 0.000
0.000 0.000 12.870
Nd Te Pb
8 4 4
direct
0.000 0.250 0.124 Nd
0.000 0.250 0.626 Nd
0.000 0.750 0.374 Nd
0.000 0.750 0.876 Nd
0.500 0.250 0.376 Nd
0.500 0.250 0.874 Nd
0.500 0.750 0.126 Nd
0.500 0.750 0.624 Nd
0.000 0.250 0.375 Te
0.000 0.750 0.625 Te
0.500 0.250 0.125 Te
0.500 0.750 0.875 Te
0.000 0.250 0.875 Pb
0.000 0.750 0.125 Pb
0.500 0.250 0.625 Pb
0.500 0.750 0.375 Pb
```

=====

No. 3
Calculated PXRD pattern of AsWI6 for copper Kα, from a crystal structure in OQMD, relaxed with PBE.

Principal peaks in the range 2θ = 10–90°, in order of rising 2θ:
2θ (°)	I/Imax
14.08	43
16.27	69
28.37	82
32.88	100
36.89	36
47.18	72
55.97	35
58.70	25
78.51	32
87.76	25

Cell and atoms:
```
AsWI6
1.0
0.000 5.449 5.449
5.449 0.000 5.449
5.449 5.449 0.000
As W I
1 1 6
direct
0.000 0.000 0.000 As
0.250 0.250 0.250 W
0.002 0.002 0.498 I
0.002 0.498 0.002 I
0.002 0.498 0.498 I
0.498 0.002 0.002 I
0.498 0.002 0.498 I
0.498 0.498 0.002 I
```

=====

No. 4
Calculated PXRD pattern of SbPt15 for copper Kα, from a crystal structure in OQMD, relaxed with PBE.

Principal peaks in the range 2θ = 10–90°, in order of rising 2θ:
2θ (°)	I/Imax
37.08	22
39.31	74
39.69	100
44.01	16
45.81	24
45.95	56
66.91	31
80.33	27
81.02	19
85.46	12

Cell and atoms:
```
SbPt15
1.0
5.549 0.000 0.000
0.000 3.962 0.000
-0.011 0.000 33.726
Sb Pt
2 30
direct
0.123 0.250 0.316 Sb
0.877 0.750 0.684 Sb
0.122 0.250 0.812 Pt
0.123 0.250 0.724 Pt
0.124 0.250 0.895 Pt
0.125 0.250 0.062 Pt
0.125 0.250 0.232 Pt
0.125 0.250 0.979 Pt
0.126 0.250 0.146 Pt
0.374 0.750 0.188 Pt
0.374 0.750 0.275 Pt
0.374 0.750 0.771 Pt
0.374 0.750 0.854 Pt
0.375 0.750 0.021 Pt
0.375 0.750 0.104 Pt
0.375 0.750 0.937 Pt
0.379 0.750 0.689 Pt
0.621 0.250 0.311 Pt
0.625 0.250 0.063 Pt
0.625 0.250 0.896 Pt
0.625 0.250 0.979 Pt
0.626 0.250 0.146 Pt
0.626 0.250 0.229 Pt
0.626 0.250 0.725 Pt
0.626 0.250 0.812 Pt
0.874 0.750 0.854 Pt
0.875 0.750 0.021 Pt
0.875 0.750 0.768 Pt
0.875 0.750 0.938 Pt
0.876 0.750 0.105 Pt
0.877 0.750 0.276 Pt
0.878 0.750 0.188 Pt
```

=====

No. 5
Calculated PXRD pattern of Bi10PdSe10 for copper Kα, from a crystal structure in OQMD, relaxed with PBE.

Principal peaks in the range 2θ = 10–90°, in order of rising 2θ:
2θ (°)	I/Imax
13.65	38
22.79	30
26.38	28
26.83	100
30.46	33
31.65	30
33.29	46
41.61	47
43.17	40
43.99	44

Cell and atoms:
```
Bi10PdSe10
1.0
12.017 0.000 0.000
0.000 12.978 0.000
0.000 0.000 8.382
Bi Pd Se
20 2 20
direct
0.000 0.000 0.249 Bi
0.000 0.000 0.751 Bi
0.127 0.403 0.233 Bi
0.127 0.403 0.767 Bi
0.167 0.670 0.000 Bi
0.220 0.556 0.500 Bi
0.280 0.056 0.500 Bi
0.333 0.170 0.000 Bi
0.373 0.903 0.233 Bi
0.373 0.903 0.767 Bi
0.500 0.500 0.249 Bi
0.500 0.500 0.751 Bi
0.627 0.097 0.233 Bi
0.627 0.097 0.767 Bi
0.667 0.830 0.000 Bi
0.720 0.944 0.500 Bi
0.780 0.444 0.500 Bi
0.833 0.330 0.000 Bi
0.873 0.597 0.233 Bi
0.873 0.597 0.767 Bi
0.000 0.500 0.000 Pd
0.500 0.000 0.000 Pd
0.004 0.657 0.500 Se
0.111 0.894 0.500 Se
0.159 0.893 0.000 Se
0.169 0.175 0.237 Se
0.169 0.175 0.763 Se
0.331 0.675 0.237 Se
0.331 0.675 0.763 Se
0.341 0.393 0.000 Se
0.389 0.394 0.500 Se
0.496 0.157 0.500 Se
0.504 0.843 0.500 Se
0.611 0.606 0.500 Se
0.659 0.607 0.000 Se
0.669 0.325 0.237 Se
0.669 0.325 0.763 Se
0.831 0.825 0.237 Se
0.831 0.825 0.763 Se
0.841 0.107 0.000 Se
0.889 0.106 0.500 Se
0.996 0.343 0.500 Se
```

=====

No. 6
Calculated PXRD pattern of AcDyNO for copper Kα, from a crystal structure in OQMD, relaxed with PBE.

Principal peaks in the range 2θ = 10–90°, in order of rising 2θ:
2θ (°)	I/Imax
25.71	32
29.29	27
29.65	100
39.36	18
45.27	19
45.43	9
52.17	21
54.84	18
54.98	15
55.17	12

Cell and atoms:
```
AcDyNO
1.0
6.946 0.000 0.000
0.000 7.985 0.000
0.000 0.000 6.099
Ac Dy N O
4 4 4 4
direct
0.071 0.124 0.000 Ac
0.429 0.124 0.500 Ac
0.571 0.876 0.000 Ac
0.929 0.876 0.500 Ac
0.095 0.621 0.955 Dy
0.405 0.621 0.455 Dy
0.595 0.379 0.955 Dy
0.905 0.379 0.455 Dy
0.083 0.153 0.421 N
0.417 0.153 0.921 N
0.583 0.847 0.421 N
0.917 0.847 0.921 N
0.100 0.572 0.596 O
0.400 0.572 0.096 O
0.600 0.428 0.596 O
0.900 0.428 0.096 O
```

=====

No. 7
Calculated PXRD pattern of HgF2 for copper Kα, from a crystal structure in OQMD, relaxed with PBE.

Principal peaks in the range 2θ = 10–90°, in order of rising 2θ:
2θ (°)	I/Imax
27.14	100
30.58	27
32.48	41
44.26	39
48.84	29
52.69	17
54.75	32
71.20	14
81.47	12
84.81	12

Cell and atoms:
```
HgF2
1.0
4.093 0.000 0.000
-2.046 3.544 0.000
0.000 0.000 8.771
Hg F
3 6
direct
0.000 0.664 0.333 Hg
0.336 0.336 0.000 Hg
0.664 0.000 0.667 Hg
0.002 0.668 0.076 F
0.332 0.334 0.743 F
0.334 0.332 0.257 F
0.666 0.998 0.409 F
0.668 0.002 0.924 F
0.998 0.666 0.591 F
```

=====

No. 8
Calculated PXRD pattern of LuPu2 for copper Kα, from a crystal structure in OQMD, relaxed with PBE.

Principal peaks in the range 2θ = 10–90°, in order of rising 2θ:
2θ (°)	I/Imax
10.75	100
17.59	12
21.59	37
27.27	36
35.62	30
37.31	32
42.04	20
45.43	19
59.03	13
63.98	11

Cell and atoms:
```
LuPu2
1.0
0.000 7.129 7.129
7.129 0.000 7.129
7.129 7.129 0.000
Lu Pu
2 4
direct
0.125 0.125 0.125 Lu
0.875 0.875 0.875 Lu
0.000 0.000 0.000 Pu
0.000 0.000 0.500 Pu
0.000 0.500 0.000 Pu
0.500 0.000 0.000 Pu
```

=====

No. 9
Calculated PXRD pattern of ErTm2Al2Cd4 for copper Kα, from a crystal structure in OQMD, relaxed with PBE.

Principal peaks in the range 2θ = 10–90°, in order of rising 2θ:
2θ (°)	I/Imax
28.49	26
31.66	77
34.82	100
38.00	40
39.81	29
52.68	12
56.21	25
56.74	23
68.49	18
69.07	13

Cell and atoms:
```
ErTm2Al2Cd4
1.0
4.529 0.000 0.000
0.000 6.270 3.614
0.000 -6.270 3.614
Er Tm Al Cd
1 2 2 4
direct
0.000 0.000 0.000 Er
0.000 0.137 0.568 Tm
0.000 0.568 0.137 Tm
0.500 0.235 0.901 Al
0.500 0.901 0.235 Al
0.000 0.567 0.567 Cd
0.500 0.317 0.317 Cd
0.500 0.568 0.820 Cd
0.500 0.820 0.568 Cd
```

=====

No. 10
Calculated PXRD pattern of Pr4In5S13 for copper Kα, from a crystal structure in OQMD, relaxed with PBE.

Principal peaks in the range 2θ = 10–90°, in order of rising 2θ:
2θ (°)	I/Imax
24.61	61
24.90	29
25.46	100
26.56	46
31.95	35
33.99	36
43.85	30
45.41	70
52.33	31
52.80	28

Cell and atoms:
```
Pr4In5S13
1.0
11.990 0.000 0.000
0.000 21.705 0.000
0.000 0.000 3.992
Pr In S
8 10 26
direct
0.020 0.169 0.000 Pr
0.169 0.343 0.000 Pr
0.331 0.843 0.000 Pr
0.480 0.669 0.000 Pr
0.520 0.331 0.000 Pr
0.669 0.157 0.000 Pr
0.831 0.657 0.000 Pr
0.980 0.831 0.000 Pr
0.000 0.500 0.000 In
0.152 0.670 0.500 In
0.155 0.993 0.500 In
0.345 0.493 0.500 In
0.348 0.170 0.500 In
0.500 0.000 0.000 In
0.652 0.830 0.500 In
0.655 0.507 0.500 In
0.845 0.007 0.500 In
0.848 0.330 0.500 In
0.000 0.000 0.000 S
0.002 0.409 0.500 S
0.078 0.262 0.500 S
0.151 0.868 0.500 S
0.164 0.113 0.500 S
0.170 0.739 0.000 S
0.203 0.478 0.000 S
0.297 0.978 0.000 S
0.330 0.239 0.000 S
0.336 0.613 0.500 S
0.349 0.368 0.500 S
0.422 0.762 0.500 S
0.498 0.909 0.500 S
0.500 0.500 0.000 S
0.502 0.091 0.500 S
0.578 0.238 0.500 S
0.651 0.632 0.500 S
0.664 0.387 0.500 S
0.670 0.761 0.000 S
0.703 0.022 0.000 S
0.797 0.522 0.000 S
0.830 0.261 0.000 S
0.836 0.887 0.500 S
0.849 0.132 0.500 S
0.922 0.738 0.500 S
0.998 0.591 0.500 S
```

=====

No. 11
Calculated PXRD pattern of SmYSc2Sb2 for copper Kα, from a crystal structure in OQMD, relaxed with PBE.

Principal peaks in the range 2θ = 10–90°, in order of rising 2θ:
2θ (°)	I/Imax
21.71	29
28.84	89
30.88	62
32.81	26
34.19	78
36.38	100
41.23	71
54.61	61
70.66	28
71.99	26

Cell and atoms:
```
SmYSc2Sb2
1.0
4.379 0.000 0.000
0.000 4.379 0.000
0.000 0.000 16.378
Sm Y Sc Sb
2 2 4 4
direct
0.000 0.000 0.000 Sm
0.500 0.500 0.500 Sm
0.000 0.000 0.352 Y
0.500 0.500 0.852 Y
0.000 0.500 0.177 Sc
0.000 0.500 0.677 Sc
0.500 0.000 0.177 Sc
0.500 0.000 0.677 Sc
0.000 0.000 0.547 Sb
0.000 0.000 0.806 Sb
0.500 0.500 0.047 Sb
0.500 0.500 0.306 Sb
```